Record 1
Diffraction record for TmCr2InO8. The XRD peak list is simulated, not measured: it uses a GGA+U-relaxed structure and Cu Kα X-rays.
No peak broadening, texture or thermal motion is included.

Main lines, by angle (5 to 70 degrees two-theta):
2θ/deg, I/Imax
18.96, 35
25.21, 100
31.73, 11
33.83, 71
35.95, 20
40.95, 13
48.70, 11
50.20, 58
51.76, 16
58.42, 13
63.28, 17
65.31, 13

Structure:
Cell: 5.8925 5.8925 5.8925 Å, 106.33 106.33 115.95°
Positions (direct):
Tm (0.0000, 0.0000, 0.0000)
Cr (0.5000, 0.5000, 0.0000)
Cr (0.7500, 0.2500, 0.5000)
In (0.2500, 0.7500, 0.5000)
O (0.3211, 0.1344, 0.8133)
O (0.3211, 0.5078, 0.1867)
O (0.3877, 0.0752, 0.3125)
O (0.4922, 0.6789, 0.8133)
O (0.7628, 0.0752, 0.6875)
O (0.8656, 0.6789, 0.1867)
O (0.9248, 0.2372, 0.3125)
O (0.9248, 0.6123, 0.6875)



Record 2
Diffraction record for CsVO. The XRD peak list is simulated, not measured: it uses a GGA+U-relaxed structure and Cu Kα X-rays.
No peak broadening, texture or thermal motion is included.

Main lines, by angle (5 to 70 degrees two-theta):
2θ/deg, I/Imax
18.17, 100
23.19, 44
26.32, 42
26.84, 21
28.20, 62
29.61, 56
37.94, 37
43.96, 22
44.53, 18
48.24, 17
49.46, 22
52.73, 25

Structure:
Cell: 7.6725 7.6725 7.1992 Å, 90.00 90.00 120.00°
Positions (direct):
Cs (0.0002, 0.5973, 0.0000)
Cs (0.4027, 0.4029, 0.6667)
Cs (0.5971, 0.9998, 0.3333)
V (0.0012, 0.8648, 0.5010)
V (0.1352, 0.1364, 0.1677)
V (0.8636, 0.9988, 0.8343)
O (0.2143, 0.0031, 0.3351)
O (0.7889, 0.7857, 0.6685)
O (0.9969, 0.2111, 0.0018)